Computed PXRD pattern of GdPa2 for Cu Kα, from a GGA-PBE-relaxed structure.
Peak positions follow from Bragg's law for the DFT cell and can differ from measured ones.

Main lines, sorted by position (15 to 90 degrees two-theta):
| 2θ (°) | d (Å) | Rel. int. |
| --- | --- | --- |
| 34.15 | 2.626 | 100 |
| 35.72 | 2.514 | 54 |
| 54.78 | 1.676 | 35 |
| 60.11 | 1.539 | 33 |
| 71.92 | 1.313 | 22 |
| 85.69 | 1.134 | 23 |

Structural model:
```
6
Lattice="0.000 4.354 4.354 4.354 0.000 4.354 4.354 4.354 0.000" Properties=species:S:1:pos:R:3 pbc="T T T"
Gd 1.088 1.088 1.088
Gd 7.619 7.619 7.619
Pa 4.354 2.177 2.177
Pa 2.177 4.354 2.177
Pa 2.177 2.177 4.354
Pa 4.354 4.354 4.354
```